SrH16O10: calculated X-ray powder pattern (Cu Ka), based on a cell relaxed with PBE.

The 10 most intense peaks (2θ = 10–80°), sorted by position:
two_theta	Rel. int.
13.68	55
13.94	36
15.66	100
19.28	41
20.81	33
24.85	41
25.01	35
25.19	35
25.63	39
32.57	34

Crystal structure
```
54
Lattice="6.3546 0.0000 0.0000 -0.1985 6.4713 0.0000 -0.1887 -0.0916 11.3161" Properties=species:S:1:pos:R:3 pbc="T T T"
Sr 0.0000 0.0000 0.0000
Sr -0.0305 -0.0293 5.9015
H 0.0240 2.3545 4.4313
H 0.0004 3.5334 7.1652
H 0.6302 4.3479 8.9979
H 0.9527 1.8320 2.4689
H 1.4513 3.8416 10.2746
H 1.5431 3.9434 6.9869
H 1.6670 2.5417 4.6488
H 1.6842 5.5828 3.4897
H 1.8400 2.3834 1.2539
H 1.9292 0.9508 8.2433
H 2.1167 6.3097 1.5252
H 2.2214 4.7464 4.7485
H 2.3296 4.6862 1.3028
H 2.2920 1.6949 10.2765
H 2.3726 1.8367 6.9667
H 2.6820 0.1410 10.0537
H 3.2394 6.2888 7.2076
H 3.5574 0.3839 4.5106
H 3.4984 4.5735 10.2649
H 3.6045 4.7390 6.9944
H 3.8931 1.8621 1.2772
H 4.0508 0.2317 1.5475
H 3.9565 5.5043 9.0284
H 4.2294 3.9283 4.6656
H 4.3921 4.1198 1.2981
H 4.4811 1.0129 3.4141
H 4.3545 2.4337 10.2156
H 4.4115 2.5549 6.8766
H 5.1729 4.6865 2.5710
H 5.2349 2.0671 8.1601
H 5.8702 3.8676 4.5290
H 5.8743 2.8346 10.0358
O 0.5635 4.2463 9.9905
O 0.6177 4.3199 7.2360
O 0.8846 1.9132 4.3192
O 1.1367 1.6958 1.5067
O 1.7095 5.4251 1.6158
O 1.7897 5.6573 4.4688
O 1.9182 0.7847 9.9885
O 2.0324 0.9189 7.2500
O 2.8377 3.4182 5.0722
O 2.9437 3.3286 6.5586
O 2.9054 3.1265 10.6604
O 3.1202 3.2393 0.8389
O 3.8421 5.5079 10.0249
O 3.9911 5.6364 7.3025
O 4.4319 0.8310 4.3857
O 4.4958 1.1026 1.6038
O 5.0709 4.8102 1.5939
O 5.1044 4.4509 4.4071
O 5.2515 2.0592 9.9179
O 5.3038 2.1662 7.1652
```

=====

SrH16O10: calculated X-ray powder pattern (Cu Ka), based on a cell relaxed with PBE.

The 10 most intense peaks (2θ = 10–80°), sorted by position:
two_theta	Rel. int.
14.06	63
14.20	52
15.52	100
19.92	50
20.14	45
24.92	54
25.29	61
25.40	54
26.12	51
32.97	48

Crystal structure
```
54
Lattice="6.2425 0.0000 0.0000 -0.0622 6.3054 0.0000 -0.3440 -0.4248 11.4182" Properties=species:S:1:pos:R:3 pbc="T T T"
Sr 0.0000 0.0000 0.0000
Sr 0.0432 -0.1222 5.5608
H -0.1883 2.7700 7.0686
H 0.2288 2.8028 1.5117
H 0.1002 1.6867 8.8993
H 0.3447 3.4472 3.8831
H 1.0424 4.4598 8.0516
H 1.3971 1.9444 9.9166
H 1.6152 4.9994 2.3698
H 1.7066 2.4754 1.0165
H 1.7452 1.0428 3.1747
H 1.6833 0.8573 7.9908
H 1.8088 3.7718 4.3811
H 1.7467 3.7354 6.8114
H 1.9648 4.0322 10.0573
H 2.3889 4.5393 1.0736
H 2.2011 5.5670 9.7446
H 2.4375 1.6532 6.7954
H 2.5156 1.6523 4.4062
H 3.5082 0.2947 1.5850
H 3.3489 5.9956 6.9832
H 3.5748 5.8843 3.8895
H 3.4639 1.2951 9.9890
H 3.8008 1.7770 1.0837
H 3.8853 4.4039 4.3821
H 3.8405 4.5045 6.8367
H 4.1128 0.2008 8.9563
H 4.0522 3.4747 10.1173
H 4.4784 3.8798 1.0812
H 4.5673 2.3132 4.4050
H 4.5505 2.3174 6.8934
H 4.9500 4.6164 2.4085
H 5.0952 1.5740 3.1148
H 5.5049 3.4570 9.4711
O 0.8576 2.0469 1.3857
O 0.7041 1.2796 9.5606
O 0.8647 4.1517 7.1201
O 0.9660 4.2067 4.0144
O 1.4853 4.8857 9.7609
O 1.9704 5.3527 1.5134
O 2.1087 0.7837 4.0501
O 2.0273 0.7451 7.0693
O 2.7044 2.6864 10.4434
O 3.0828 3.1258 0.5168
O 3.1289 2.9994 6.4001
O 3.1784 3.0310 4.9076
O 3.8784 0.3737 9.8908
O 4.2402 0.9551 1.4963
O 4.1748 5.4395 6.9945
O 4.3122 5.2272 3.9594
O 4.9040 4.0135 9.9879
O 5.2847 4.2919 1.5288
O 5.3967 1.8817 4.0067
O 5.4687 1.9640 7.1475
```

=====

SrH16O10: calculated X-ray powder pattern (Cu Ka), based on a cell relaxed with PBE.

The 10 most intense peaks (2θ = 10–80°), sorted by position:
two_theta	Rel. int.
13.59	51
14.17	53
15.82	100
24.91	43
25.22	46
25.63	85
31.64	38
32.43	30
38.00	36
43.60	33

Crystal structure
```
54
Lattice="6.2561 0.0000 0.0000 0.2381 6.5138 0.0000 0.0919 0.1038 11.2070" Properties=species:S:1:pos:R:3 pbc="T T T"
Sr 0.0000 0.0000 0.0000
Sr 0.1097 0.0555 5.6016
H 0.3439 3.6387 1.5063
H 0.4636 3.0590 9.8475
H 0.4520 1.8123 1.6342
H 1.0187 4.4992 3.3079
H 1.0712 2.1521 7.9902
H 1.8455 4.1295 1.3320
H 1.8780 2.5869 6.6832
H 1.9378 2.5745 10.0933
H 1.9648 3.9078 4.4222
H 1.9209 0.9016 3.0907
H 2.3213 5.6791 8.0521
H 2.4518 1.6530 1.2396
H 2.7416 4.7886 6.7901
H 2.7725 4.8436 10.0886
H 2.8629 0.5645 4.2970
H 3.1919 6.3669 9.8704
H 3.4494 6.4107 1.4324
H 3.5128 0.3035 6.9613
H 3.9600 1.8342 6.7645
H 3.9881 1.8634 10.0524
H 4.0596 4.9230 1.2328
H 4.2125 4.9704 4.4583
H 4.3044 2.8374 4.6162
H 4.3798 0.9907 8.7564
H 4.5693 5.8294 3.1640
H 4.4525 2.7862 0.9964
H 4.7645 4.0844 6.8614
H 4.8645 4.0738 10.0653
H 5.5521 2.1294 3.0789
H 5.7009 4.5731 8.7968
H 6.2341 2.8520 4.3158
H 6.2801 3.6869 6.9775
O 0.9493 4.4775 1.5195
O 0.9887 2.2273 6.9967
O 1.0553 4.3058 4.2846
O 1.0530 2.2474 9.7622
O 1.9408 0.8446 1.4590
O 1.9673 0.9228 4.1116
O 2.4002 5.7063 7.0542
O 2.4168 5.7339 9.7837
O 3.3936 3.3247 6.3690
O 3.4821 3.3385 10.5494
O 3.5349 3.4925 4.9059
O 3.5425 3.2369 0.8208
O 4.3271 5.8506 1.4516
O 4.3059 0.9476 9.7567
O 4.2950 0.9214 7.0543
O 4.6030 5.8471 4.1659
O 5.5362 2.1578 4.1440
O 5.6725 4.4747 7.0939
O 5.7547 4.4785 9.7957
O 5.8089 2.2501 1.6182
```